Diffraction record for Tm5ZnPb4. The X-ray powder pattern is computed, not measured: it uses a crystal structure in Alexandria, relaxed with PBE and Cu Kα (λ = 1.5418 Å).
Neutral-atom scattering factors, no anomalous dispersion.

Crystal structure
```
data_Tm5ZnPb4
_chemical_formula_sum 'Tm10 Zn2 Pb8'
_space_group_name_H-M_alt 'I 4'
_space_group_IT_number 79
_cell_length_a 9.615
_cell_length_b 9.615
_cell_length_c 6.237
_cell_angle_alpha 90.00
_cell_angle_beta 90.00
_cell_angle_gamma 90.00
loop_
_space_group_symop_operation_xyz
'x,y,z'
'-y,x,z'
'-x,-y,z'
'y,-x,z'
'x+1/2,y+1/2,z+1/2'
'-y+1/2,x+1/2,z+1/2'
'-x+1/2,-y+1/2,z+1/2'
'y+1/2,-x+1/2,z+1/2'
loop_
_atom_site_label
_atom_site_type_symbol
_atom_site_fract_x
_atom_site_fract_y
_atom_site_fract_z
Tm1 Tm 0.000 0.000 0.000
Tm2 Tm 0.090 0.307 0.687
Zn1 Zn 0.000 0.000 0.507
Pb1 Pb 0.101 0.281 0.192
```

Peak list (10 most intense, 2θ from 10° to 90°, most intense first)
two_theta	intensity
29.4	100.0
41.5	59.1
42.0	35.9
28.6	32.2
51.6	25.9
67.5	16.3
31.6	15.4
69.1	14.6
34.3	14.5
76.4	12.9